Entry 1:
For SnSe2Cl8O2, a structure optimized by DFT (GGA-PBE) gives the computed X-ray diffraction stick pattern in this record (Cu Kα).
Neutral-atom scattering factors, no anomalous dispersion.

Structure:
Lattice parameters (Å, degrees): 6.844 6.844 16.848 93.97 93.97 89.38
Sites, in units of the cell vectors:
Sn: 0.199 0.801 0.750
Sn: 0.801 0.199 0.250
Se: 0.098 0.213 0.866
Se: 0.213 0.098 0.366
Se: 0.787 0.902 0.634
Se: 0.902 0.787 0.134
Cl: 0.089 0.409 0.259
Cl: 0.167 0.695 0.074
Cl: 0.181 0.293 0.474
Cl: 0.293 0.181 0.974
Cl: 0.305 0.833 0.426
Cl: 0.358 0.637 0.642
Cl: 0.363 0.642 0.858
Cl: 0.409 0.089 0.759
Cl: 0.591 0.911 0.241
Cl: 0.637 0.358 0.142
Cl: 0.642 0.363 0.358
Cl: 0.695 0.167 0.574
Cl: 0.707 0.819 0.026
Cl: 0.819 0.707 0.526
Cl: 0.833 0.305 0.926
Cl: 0.911 0.591 0.741
O: 0.018 0.972 0.663
O: 0.028 0.982 0.837
O: 0.972 0.018 0.163
O: 0.982 0.028 0.337

The 8 most intense peaks (2θ = 10–80°), low angle first:
8.384 Å, I = 52
6.827 Å, I = 60
6.177 Å, I = 65
5.481 Å, I = 100
4.382 Å, I = 75
4.184 Å, I = 81
3.647 Å, I = 48
2.963 Å, I = 48

***

Entry 2:
For YSn3Se2ClO8, a structure optimized by DFT (GGA-PBE) gives the computed X-ray diffraction stick pattern in this record (Cu Kα).
Neutral-atom scattering factors, no anomalous dispersion.

Structure:
Lattice parameters (Å, degrees): 7.196 10.449 7.506 90.00 90.00 90.00
Sites, in units of the cell vectors:
Y: 0.250 0.250 0.185
Y: 0.750 0.750 0.815
Sn: 0.000 0.000 0.500
Sn: 0.000 0.500 0.500
Sn: 0.250 0.250 0.673
Sn: 0.500 0.000 0.500
Sn: 0.500 0.500 0.500
Sn: 0.750 0.750 0.327
Se: 0.250 0.570 0.931
Se: 0.250 0.930 0.931
Se: 0.750 0.070 0.069
Se: 0.750 0.430 0.069
Cl: 0.250 0.750 0.372
Cl: 0.750 0.250 0.628
O: 0.061 0.598 0.793
O: 0.061 0.902 0.793
O: 0.250 0.098 0.945
O: 0.250 0.126 0.434
O: 0.250 0.374 0.434
O: 0.250 0.402 0.945
O: 0.439 0.598 0.793
O: 0.439 0.902 0.793
O: 0.561 0.098 0.207
O: 0.561 0.402 0.207
O: 0.750 0.598 0.055
O: 0.750 0.626 0.566
O: 0.750 0.874 0.566
O: 0.750 0.902 0.055
O: 0.939 0.098 0.207
O: 0.939 0.402 0.207

The 8 most intense peaks (2θ = 10–80°), low angle first:
5.926 Å, I = 41
3.532 Å, I = 38
3.244 Å, I = 55
3.135 Å, I = 42
3.048 Å, I = 80
2.963 Å, I = 63
2.756 Å, I = 100
1.842 Å, I = 44

***

Entry 3:
For Tb3Se2ClO8, a structure optimized by DFT (GGA-PBE) gives the computed X-ray diffraction stick pattern in this record (Cu Kα).
Neutral-atom scattering factors, no anomalous dispersion.

Structure:
Lattice parameters (Å, degrees): 5.429 15.308 10.917 90.00 90.00 90.00
Sites, in units of the cell vectors:
Tb: 0.019 0.075 0.136
Tb: 0.019 0.425 0.136
Tb: 0.030 0.250 0.357
Tb: 0.470 0.750 0.857
Tb: 0.481 0.575 0.636
Tb: 0.481 0.925 0.636
Tb: 0.519 0.075 0.364
Tb: 0.519 0.425 0.364
Tb: 0.530 0.250 0.143
Tb: 0.970 0.750 0.643
Tb: 0.981 0.575 0.864
Tb: 0.981 0.925 0.864
Se: 0.050 0.600 0.375
Se: 0.050 0.900 0.375
Se: 0.450 0.100 0.875
Se: 0.450 0.400 0.875
Se: 0.550 0.600 0.125
Se: 0.550 0.900 0.125
Se: 0.950 0.100 0.625
Se: 0.950 0.400 0.625
Cl: 0.083 0.250 0.007
Cl: 0.417 0.750 0.507
Cl: 0.583 0.250 0.493
Cl: 0.917 0.750 0.993
O: 0.114 0.011 0.684
O: 0.114 0.489 0.684
O: 0.117 0.131 0.499
O: 0.117 0.369 0.499
O: 0.193 0.049 0.941
O: 0.193 0.451 0.941
O: 0.226 0.657 0.750
O: 0.226 0.843 0.750
O: 0.274 0.157 0.250
O: 0.274 0.343 0.250
O: 0.307 0.549 0.441
O: 0.307 0.951 0.441
O: 0.383 0.631 0.999
O: 0.383 0.869 0.999
O: 0.386 0.511 0.184
O: 0.386 0.989 0.184
O: 0.614 0.011 0.816
O: 0.614 0.489 0.816
O: 0.617 0.131 0.001
O: 0.617 0.369 0.001
O: 0.693 0.049 0.559
O: 0.693 0.451 0.559
O: 0.726 0.657 0.750
O: 0.726 0.843 0.750
O: 0.774 0.157 0.250
O: 0.774 0.343 0.250
O: 0.807 0.549 0.059
O: 0.807 0.951 0.059
O: 0.883 0.631 0.501
O: 0.883 0.869 0.501
O: 0.886 0.511 0.316
O: 0.886 0.989 0.316

The 8 most intense peaks (2θ = 10–80°), low angle first:
4.103 Å, I = 13
3.073 Å, I = 100
2.811 Å, I = 15
2.729 Å, I = 13
2.714 Å, I = 15
2.551 Å, I = 14
1.634 Å, I = 14
1.628 Å, I = 12